Li7Mn5O12: simulated powder diffraction line list (a wavelength of 1.5418 Å), based on a GGA+U-relaxed structure.
Intensities are scaled so that the largest is 100.

Crystal structure
```
24
Lattice="5.3050 0.0000 0.0000 2.2045 5.6478 0.0000 2.1592 1.2849 7.4156" Properties=species:S:1:pos:R:3 pbc="T T T"
Li 0.0000 0.0000 0.0000
Li 2.2222 4.2640 2.3802
Li 1.2837 3.0215 0.0455
Li 3.4858 5.7179 4.9813
Li 1.2706 1.4246 2.4177
Li 2.4992 2.9642 5.0386
Li 5.0216 5.0721 1.2367
Mn 4.9929 3.6038 3.6947
Mn 3.8845 0.7440 3.7030
Mn 5.0106 2.1402 6.2338
Mn 3.9441 2.2413 1.2557
Mn 6.1649 5.0180 6.2388
O 3.1469 2.4305 3.0291
O 3.1671 1.0169 5.5130
O 3.2152 3.9301 0.6114
O 4.2980 3.8295 5.5087
O 4.5066 5.4299 3.2054
O 2.3489 1.3358 0.6313
O 5.5009 1.7800 4.3117
O 5.5715 3.1889 1.9036
O 4.6695 0.5549 1.9498
O 6.8550 4.7345 4.3681
O 7.9529 6.1235 6.7813
O 6.8898 3.3165 6.9030
```

Main lines, sorted by position (2θ = 5–70°):
Position (°2θ)  I/Imax  h k l
11.9  6.7  0 0 1
18.3  100.0  1 0 0
33.8  15.5  1 2 2
36.4  25.0  0 2 -1
40.4  35.3  2 2 2
44.4  27.7  1 0 -3
44.6  27.6  1 -2 1
61.5  16.7  1 2 5
61.6  8.0  3 2 -1
62.0  8.0  3 0 3
64.5  7.3  -2 2 2
65.0  7.4  0 2 -4